Calculated PXRD pattern of Pm12Nd7Pb for Cu Ka, from a GGA-PBE-relaxed structure.

Principal peaks in the range 10 to 80 degrees two-theta, most intense first:
2theta, intensity, (hkl)
30.2, 1000, 1 3 1
31.5, 688, 2 1 4
31.8, 524, 4 -1 2
32.9, 301, 2 0 5
29.6, 240, 0 1 5
30.0, 229, 0 3 3

Atomic structure:
a = 12.5307 Å, b = 12.5307 Å, c = 15.7346 Å
α = 90.00°, β = 90.00°, γ = 120.00°
Space group R-3 (No. 148, hexagonal axes)
Unique sites:
Pm 0.0334 0.8464 0.3094 x18
Pm 0.0713 0.2620 0.9243 x18
Nd 0.0000 0.0000 0.5000 x3
Nd 0.0140 0.5777 0.1992 x18
Pb 0.0000 0.0000 0.0000 x3